Calculated powder diffraction line list
Compound: Zr2Zn16In
Radiation: Cu Ka
Structure: the GGA-PBE geometry in Alexandria
Intensities are scaled so that the largest is 1000.

Crystal structure
Cell lengths 8.9640, 8.9640, 12.9594 Å; angles 90.00, 90.00, 120.00 degrees
Space group R3m (No. 160, hexagonal axes)
Inequivalent atoms, fractional coordinates:
Zr1 0.0000 0.0000 0.0000 (multiplicity 3)
Zr2 0.0000 0.0000 0.3195 (multiplicity 3)
Zn1 0.0000 0.0000 0.5482 (multiplicity 3)
Zn2 0.0011 0.3133 0.6559 (multiplicity 18)
Zn3 0.0112 0.5056 0.8102 (multiplicity 9)
Zn4 0.0116 0.5058 0.1558 (multiplicity 9)
Zn5 0.1782 0.3564 0.8362 (multiplicity 9)
In1 0.0000 0.0000 0.7577 (multiplicity 3)

Peak list (12 most intense, 15 to 90 degrees two-theta, by angle)
h k l	2theta	d/Å	I (rel.)
3 0 0	34.67	2.588	455
0 2 4	36.11	2.487	254
2 2 0	40.24	2.241	598
0 3 3	40.64	2.220	1000
2 1 4	41.52	2.175	166
0 0 6	41.86	2.158	503
2 2 3	45.60	1.989	648
1 1 6	46.69	1.945	185
3 3 3	66.19	1.412	170
6 0 0	73.14	1.294	256
0 3 9	75.57	1.258	233
0 6 6	87.98	1.110	161